The following is a simulated X-ray diffraction stick pattern of CuH3C4S2N2. It was derived from a crystal structure in OQMD, relaxed with GGA-PBE, using λ = 1.5418 Å (Cu Kα).

Largest 8 diffraction maxima, by angle, 2θ from 10° to 90°:
hkl	2θ/deg	d (Å)	I_rel
1 1 0	10.18	8.685	100
1 3 0	20.25	4.386	7
1 2 1	26.16	3.407	12
0 3 1	28.50	3.132	12
2 2 1	29.82	2.997	10
3 1 1	33.42	2.682	8
3 5 1	45.84	1.980	7
4 4 1	47.28	1.922	8

Lattice parameters (Å, degrees): 10.902 14.371 4.138 90.00 90.00 90.00
Element x y z (fractional)
Cu: 0.071 0.014 0.000
Cu: 0.429 0.514 0.500
Cu: 0.571 0.486 0.000
Cu: 0.929 0.986 0.500
H: 0.020 0.617 0.292
H: 0.191 0.743 0.041
H: 0.216 0.371 0.803
H: 0.284 0.871 0.303
H: 0.309 0.243 0.541
H: 0.480 0.117 0.792
H: 0.520 0.883 0.292
H: 0.691 0.757 0.041
H: 0.716 0.129 0.803
H: 0.784 0.629 0.303
H: 0.809 0.257 0.541
H: 0.980 0.383 0.792
C: 0.017 0.189 0.376
C: 0.030 0.327 0.676
C: 0.150 0.180 0.378
C: 0.156 0.321 0.684
C: 0.344 0.821 0.184
C: 0.350 0.680 0.878
C: 0.470 0.827 0.176
C: 0.483 0.689 0.876
C: 0.517 0.311 0.376
C: 0.530 0.173 0.676
C: 0.650 0.320 0.378
C: 0.656 0.179 0.684
C: 0.844 0.679 0.184
C: 0.850 0.820 0.878
C: 0.970 0.673 0.176
C: 0.983 0.811 0.876
S: 0.078 0.890 0.678
S: 0.231 0.092 0.199
S: 0.269 0.592 0.699
S: 0.422 0.390 0.178
S: 0.578 0.610 0.678
S: 0.731 0.408 0.199
S: 0.769 0.908 0.699
S: 0.922 0.110 0.178
N: 0.037 0.739 0.025
N: 0.211 0.248 0.538
N: 0.289 0.748 0.038
N: 0.463 0.239 0.525
N: 0.537 0.761 0.025
N: 0.711 0.252 0.538
N: 0.789 0.752 0.038
N: 0.963 0.261 0.525